No. 1
The following is a calculated X-ray powder pattern of YAlN2. It was derived from the GGA-PBE geometry in the Materials Project, using Cu Kα (weighted mean of Kα1 and Kα2).
Kinematic intensities with the Lorentz-polarization factor, no thermal factor.

Crystal structure
```
16
Lattice="5.779 0.000 0.000 0.000 6.894 0.000 -1.872 0.000 5.420" Properties=species:S:1:pos:R:3 pbc="T T T"
Y 0.205 0.672 1.616
Y -0.731 2.776 4.326
Y 4.638 4.119 1.094
Y 3.701 6.223 3.804
Al 1.476 4.472 2.138
Al 0.540 5.870 4.848
Al 3.367 1.025 0.572
Al 2.431 2.422 3.282
N 1.265 4.632 0.265
N 0.329 5.709 2.975
N -0.221 0.723 5.244
N 0.715 2.725 2.534
N 3.192 4.170 2.886
N 4.128 6.172 0.176
N 3.578 1.185 2.445
N 2.642 2.262 5.155
```

The 12 most intense peaks (5° ≤ 2θ ≤ 70°), by angle:
2θ (°)  intensity
16.23  36.2
29.72  49.3
30.73  100.0
31.71  53.3
32.23  23.2
34.14  46.6
35.35  31.2
42.68  19.7
43.72  23.6
43.87  20.3
52.00  19.1
54.93  26.9



No. 2
The following is a calculated X-ray powder pattern of LuAg2. It was derived from the GGA-PBE geometry in the Materials Project, using Cu Kα (weighted mean of Kα1 and Kα2).
Kinematic intensities with the Lorentz-polarization factor, no thermal factor.

Crystal structure
```
6
Lattice="3.702 0.000 0.000 0.000 3.702 0.000 0.000 0.000 9.110" Properties=species:S:1:pos:R:3 pbc="T T T"
Lu 0.000 0.000 0.000
Lu 1.851 1.851 4.555
Ag 0.000 0.000 3.034
Ag 0.000 0.000 6.076
Ag 1.851 1.851 1.521
Ag 1.851 1.851 7.589
```

The 12 most intense peaks (5° ≤ 2θ ≤ 70°), by angle:
2θ (°)  intensity
19.49  2.9
25.98  6.2
34.26  68.3
38.34  100.0
39.72  2.1
49.23  24.0
53.32  1.1
53.43  1.0
56.28  0.8
56.50  1.8
61.03  6.2
64.06  42.7



No. 3
The following is a calculated X-ray powder pattern of Th2Fe5Ni5. It was derived from the GGA-PBE geometry in the Materials Project, using Cu Kα (weighted mean of Kα1 and Kα2).
Kinematic intensities with the Lorentz-polarization factor, no thermal factor.

Crystal structure
```
12
Lattice="3.992 0.000 0.000 0.000 5.043 0.000 0.000 0.000 8.641" Properties=species:S:1:pos:R:3 pbc="T T T"
Th 0.000 0.000 0.000
Th 0.000 2.521 4.321
Fe 0.000 0.000 2.874
Fe 0.000 0.000 5.767
Fe 0.000 2.521 1.400
Fe 0.000 2.521 7.242
Fe 1.996 2.521 0.000
Ni 1.996 0.000 4.321
Ni 1.996 1.251 2.162
Ni 1.996 1.251 6.479
Ni 1.996 3.792 2.162
Ni 1.996 3.792 6.479
```

The 12 most intense peaks (5° ≤ 2θ ≤ 70°), by angle:
2θ (°)  intensity
20.39  18.5
30.37  78.0
30.49  42.1
35.61  19.0
35.90  38.8
41.46  43.3
41.81  20.3
42.40  52.6
42.66  100.0
45.44  36.3
63.19  24.6
68.81  23.3



No. 4
The following is a calculated X-ray powder pattern of HoScGe. It was derived from the GGA-PBE geometry in the Materials Project, using Cu Kα (weighted mean of Kα1 and Kα2).
Kinematic intensities with the Lorentz-polarization factor, no thermal factor.

Crystal structure
```
18
Lattice="6.187 0.000 0.000 0.000 7.377 4.588 0.000 -7.377 4.588" Properties=species:S:1:pos:R:3 pbc="T T T"
Ho 0.000 0.000 0.000
Ho 0.000 -1.896 5.645
Ho 0.000 1.896 5.645
Ho 3.093 -5.400 3.727
Ho 3.093 0.000 4.081
Ho 3.093 5.400 3.727
Sc 1.557 -2.311 2.261
Sc 1.557 2.311 2.261
Sc 3.093 -2.709 5.219
Sc 3.093 2.709 5.219
Sc 4.630 -2.311 2.261
Sc 4.630 2.311 2.261
Ge 0.000 -4.413 4.210
Ge 0.000 0.000 3.127
Ge 0.000 4.413 4.210
Ge 1.820 0.000 6.675
Ge 3.093 0.000 1.216
Ge 4.367 0.000 6.675
```

The 12 most intense peaks (5° ≤ 2θ ≤ 70°), by angle:
2θ (°)  intensity
12.00  33.4
24.15  25.6
25.08  47.4
28.86  49.1
33.24  44.1
34.40  55.4
34.53  70.9
35.04  100.0
35.66  73.2
36.54  26.2
49.44  21.2
55.75  24.0



No. 5
The following is a calculated X-ray powder pattern of Sn4P3O12. It was derived from the GGA-PBE geometry in the Materials Project, using Cu Kα (weighted mean of Kα1 and Kα2).
Kinematic intensities with the Lorentz-polarization factor, no thermal factor.

Crystal structure
```
38
Lattice="4.911 2.836 8.485 -4.911 2.836 8.485 0.000 -5.671 8.485" Properties=species:S:1:pos:R:3 pbc="T T T"
Sn 0.000 0.000 0.000
Sn -4.337 0.521 12.129
Sn 1.718 -4.016 12.129
Sn -0.574 -2.315 16.371
Sn 0.000 0.000 12.727
Sn -1.718 1.655 16.371
Sn 2.292 0.660 16.371
Sn 2.619 3.496 12.129
P -2.760 1.057 6.835
P -2.151 -1.779 11.078
P 0.465 -2.919 6.835
P -0.465 2.752 11.078
P 2.295 1.862 6.835
P 2.616 -0.974 11.078
O -0.263 -2.963 5.458
O -2.477 -1.126 9.701
O -2.434 1.709 5.458
O -3.027 -1.101 12.173
O -0.560 -2.499 7.930
O -3.843 -1.449 15.727
O -1.884 1.734 7.930
O -0.666 -1.619 11.485
O -3.311 0.971 15.180
O -1.069 1.386 11.485
O 0.814 -3.353 15.180
O -1.600 -1.864 19.422
O 2.214 -1.582 9.701
O 2.697 1.253 5.458
O 0.263 2.709 9.701
O 2.444 0.765 7.930
O 2.467 -2.071 12.173
O 1.735 0.232 11.485
O 0.560 3.172 12.173
O 3.176 -2.603 15.727
O -0.815 2.318 19.422
O 0.666 4.052 15.727
O 2.415 -0.454 19.422
O 2.497 2.382 15.180
```

The 12 most intense peaks (5° ≤ 2θ ≤ 70°), by angle:
2θ (°)  intensity
20.93  63.0
22.03  100.0
25.18  25.9
27.97  26.5
31.17  21.1
35.23  15.1
36.63  30.5
38.17  14.6
45.45  14.2
50.32  19.5
53.94  17.0
59.57  14.1



No. 6
The following is a calculated X-ray powder pattern of Na2Ti2Si2H2O9. It was derived from the GGA-PBE geometry in the Materials Project, using Cu Kα (weighted mean of Kα1 and Kα2).
Kinematic intensities with the Lorentz-polarization factor, no thermal factor.

Crystal structure
```
34
Lattice="5.432 0.000 0.000 -0.041 7.098 0.000 -1.581 -0.778 11.733" Properties=species:S:1:pos:R:3 pbc="T T T"
Na 0.000 0.000 0.000
Na -0.764 0.951 8.396
Na 1.964 2.581 8.131
Na 2.781 4.344 4.779
Ti -0.923 4.534 8.218
Ti 2.083 6.119 8.292
Ti 2.767 0.732 5.331
Ti 3.839 2.860 11.187
Si 0.006 2.842 5.572
Si 0.073 5.908 5.413
Si 1.055 4.788 11.109
Si 1.194 0.753 10.931
H 0.006 0.573 2.426
H 0.080 3.436 1.893
H 2.643 3.867 2.293
H 2.811 1.031 2.912
O 0.033 4.343 4.874
O -0.093 3.047 7.210
O 0.204 5.877 7.089
O 1.274 4.952 0.021
O -0.207 1.489 11.279
O 1.427 6.535 4.767
O 1.427 2.152 5.210
O 0.942 4.807 9.431
O 1.304 0.531 9.299
O 1.120 -0.741 11.641
O 2.719 0.458 7.113
O 2.963 4.670 7.241
O 2.451 4.140 11.613
O 2.576 1.421 11.467
O 4.070 2.141 5.052
O 4.103 6.546 4.913
O 3.628 5.988 9.265
O 3.876 3.119 9.402
```

The 12 most intense peaks (5° ≤ 2θ ≤ 70°), by angle:
2θ (°)  intensity
7.53  100.0
15.09  23.3
20.58  5.8
22.74  7.4
23.25  5.3
30.47  11.7
30.84  7.9
32.28  9.9
33.49  5.2
35.20  5.8
35.84  7.4
51.68  3.7



No. 7
The following is a calculated X-ray powder pattern of EuAs2Pd2. It was derived from the GGA-PBE geometry in the Materials Project, using Cu Kα (weighted mean of Kα1 and Kα2).
Kinematic intensities with the Lorentz-polarization factor, no thermal factor.

Crystal structure
```
10
Lattice="11.061 0.000 0.000 0.000 4.400 0.000 -1.641 0.000 4.133" Properties=species:S:1:pos:R:3 pbc="T T T"
Eu 0.000 0.000 0.000
Eu 5.531 2.200 0.000
As 0.359 2.200 2.628
As 3.549 0.000 1.577
As 5.890 0.000 2.628
As 9.080 2.200 1.577
Pd 2.346 2.200 1.052
Pd 1.540 0.000 3.146
Pd 7.877 0.000 1.052
Pd 7.070 2.200 3.146
```

The 12 most intense peaks (5° ≤ 2θ ≤ 70°), by angle:
2θ (°)  intensity
32.42  16.8
33.15  100.0
33.59  15.6
33.93  63.3
40.60  38.0
41.03  37.0
45.10  10.1
48.90  10.6
59.10  24.8
61.01  11.2
62.46  10.4
69.76  11.3



No. 8
The following is a calculated X-ray powder pattern of PuBr3. It was derived from the GGA-PBE geometry in the Materials Project, using Cu Kα (weighted mean of Kα1 and Kα2).
Kinematic intensities with the Lorentz-polarization factor, no thermal factor.

Crystal structure
```
16
Lattice="4.045 0.000 0.000 0.000 14.588 0.000 0.000 0.000 9.195" Properties=species:S:1:pos:R:3 pbc="T T T"
Pu 0.000 3.483 2.299
Pu 0.000 11.105 6.897
Pu 2.022 3.811 6.897
Pu 2.022 10.777 2.299
Br 0.000 2.313 5.229
Br 0.000 2.313 8.564
Br 0.000 5.858 6.897
Br 0.000 8.730 2.299
Br 0.000 12.275 0.632
Br 0.000 12.275 3.966
Br 2.022 1.436 2.299
Br 2.022 4.981 0.632
Br 2.022 4.981 3.966
Br 2.022 9.607 5.229
Br 2.022 9.607 8.564
Br 2.022 13.152 6.897
```

The 12 most intense peaks (5° ≤ 2θ ≤ 70°), by angle:
2θ (°)  intensity
12.13  100.0
19.31  20.8
22.86  17.3
24.81  16.7
28.71  13.5
30.34  65.6
31.31  15.9
31.66  19.0
37.32  38.0
39.32  25.8
41.36  22.7
42.04  19.8